This entry pairs a crystal structure of SrMo2Pd with its theoretical powder X-ray diffraction pattern. Radiation: λ = 1.5418 Å (Cu Kα). Structure: a cell relaxed with PBE.
Kinematic intensities with the Lorentz-polarization factor, no thermal factor.

Peak list (10 most intense, 2θ from 15° to 90°, sorted by position)
two_theta  I_rel  (hkl)
19.7  817  1 0 1
23.6  287  1 0 3
28.8  1000  1 1 2
37.0  495  0 0 8
38.9  208  2 0 0
39.1  433  1 1 6
40.0  378  2 0 2
43.3  330  2 0 4
48.3  215  2 0 6
59.6  458  2 2 4

Structure:
Cell lengths 4.630, 4.630, 19.427 Å; angles 90.00, 90.00, 90.00 degrees
Space group I-42d (No. 122)
Symmetry-distinct sites (fractional):
Sr1 0.000 0.000 0.000 x4
Mo1 0.022 0.250 0.625 x8
Pd1 0.000 0.000 0.500 x4